Record 1
Calculated X-ray diffraction stick pattern
Compound: TaSb3O8
Radiation: Cu Kα (weighted mean of Kα1 and Kα2)
Structure: a structure optimized by DFT (PBE)

Largest 6 diffraction maxima, sorted by position, 2θ from 5° to 70°:
Position (°2θ)	I/Imax	h k l
25.13	45	1 1 2
28.31	100	1 -1 4
29.90	31	0 0 8
32.92	22	0 2 2
47.67	18	2 0 8
52.11	20	1 -1 12

Structure:
Unit cell a=4.957 b=5.593 c=23.908 alpha=90.12 beta=90.01 gamma=90.06
Space group P1 (No. 1)
Unique sites:
Ta 0.000 0.000 0.000 [1 per cell]
Ta 0.001 0.272 0.750 [1 per cell]
Ta 0.002 0.003 0.500 [1 per cell]
Ta 0.495 0.503 0.500 [1 per cell]
Sb 0.000 0.271 0.250 [1 per cell]
Sb 0.044 0.623 0.375 [1 per cell]
Sb 0.047 0.620 0.876 [1 per cell]
Sb 0.454 0.122 0.875 [1 per cell]
Sb 0.455 0.124 0.375 [1 per cell]
Sb 0.498 0.501 0.001 [1 per cell]
Sb 0.500 0.772 0.250 [1 per cell]
Sb 0.503 0.771 0.751 [1 per cell]
Sb 0.545 0.151 0.125 [1 per cell]
Sb 0.548 0.151 0.625 [1 per cell]
Sb 0.950 0.649 0.625 [1 per cell]
Sb 0.958 0.655 0.125 [1 per cell]
O 0.162 0.296 0.329 [1 per cell]
O 0.165 0.296 0.829 [1 per cell]
O 0.166 0.958 0.924 [1 per cell]
O 0.168 0.957 0.423 [1 per cell]
O 0.218 0.001 0.221 [1 per cell]
O 0.224 0.717 0.528 [1 per cell]
O 0.224 0.725 0.030 [1 per cell]
O 0.228 0.010 0.726 [1 per cell]
O 0.272 0.510 0.724 [1 per cell]
O 0.274 0.217 0.528 [1 per cell]
O 0.281 0.222 0.028 [1 per cell]
O 0.281 0.501 0.221 [1 per cell]
O 0.330 0.456 0.423 [1 per cell]
O 0.337 0.796 0.329 [1 per cell]
O 0.337 0.796 0.830 [1 per cell]
O 0.338 0.456 0.924 [1 per cell]
O 0.661 0.815 0.673 [1 per cell]
O 0.662 0.817 0.173 [1 per cell]
O 0.667 0.477 0.080 [1 per cell]
O 0.668 0.472 0.578 [1 per cell]
O 0.711 0.054 0.280 [1 per cell]
O 0.718 0.052 0.778 [1 per cell]
O 0.732 0.760 0.974 [1 per cell]
O 0.741 0.743 0.475 [1 per cell]
O 0.757 0.242 0.475 [1 per cell]
O 0.771 0.260 0.976 [1 per cell]
O 0.780 0.549 0.780 [1 per cell]
O 0.788 0.554 0.280 [1 per cell]
O 0.831 0.972 0.579 [1 per cell]
O 0.834 0.977 0.079 [1 per cell]
O 0.836 0.313 0.674 [1 per cell]
O 0.839 0.317 0.173 [1 per cell]

***

Record 2
Calculated X-ray diffraction stick pattern
Compound: K2SnTe3
Radiation: Cu Kα (weighted mean of Kα1 and Kα2)
Structure: a structure optimized by DFT (PBE)

Largest 6 diffraction maxima, sorted by position, 2θ from 5° to 70°:
Position (°2θ)	I/Imax	h k l
14.74	73	1 1 1
25.33	100	3 1 2
28.71	74	0 2 2
30.60	84	6 0 2
30.68	77	6 2 0
43.88	78	1 3 3

Structure:
Unit cell a=23.399 b=8.770 c=8.818 alpha=90.00 beta=90.00 gamma=90.00
Space group Cmce (No. 64)
Unique sites:
K 0.078 0.000 0.000 [8 per cell]
K 0.235 0.000 0.000 [8 per cell]
Sn 0.084 0.000 0.500 [8 per cell]
Te 0.000 0.168 0.332 [8 per cell]
Te 0.149 0.186 0.686 [16 per cell]

***

Record 3
Calculated X-ray diffraction stick pattern
Compound: MnNi4Os
Radiation: Cu Kα (weighted mean of Kα1 and Kα2)
Structure: a structure optimized by DFT (PBE)

Largest 6 diffraction maxima, sorted by position, 2θ from 5° to 70°:
Position (°2θ)	I/Imax	h k l
23.41	19	1 1 1
27.09	17	2 0 0
38.69	48	2 2 0
45.71	100	3 1 1
47.87	25	2 2 2
63.17	7	4 2 0

Structure:
Unit cell a=6.582 b=6.582 c=6.582 alpha=90.00 beta=90.00 gamma=90.00
Space group F-43m (No. 216)
Unique sites:
Mn 0.000 0.000 0.000 [4 per cell]
Ni 0.125 0.125 0.625 [16 per cell]
Os 0.250 0.250 0.250 [4 per cell]

***

Record 4
Calculated X-ray diffraction stick pattern
Compound: Ca3Bi4Pd4
Radiation: Cu Kα (weighted mean of Kα1 and Kα2)
Structure: a structure optimized by DFT (PBE)

Largest 6 diffraction maxima, sorted by position, 2θ from 5° to 70°:
Position (°2θ)	I/Imax	h k l
20.48	63	0 1 3
22.48	100	1 0 1
31.36	79	1 0 7
36.90	68	0 2 0
39.36	71	0 1 11
43.17	92	1 1 10

Structure:
Unit cell a=3.994 b=4.872 c=28.528 alpha=90.00 beta=90.00 gamma=90.00
Space group Immm (No. 71)
Unique sites:
Ca 0.000 0.000 0.000 [2 per cell]
Ca 0.000 0.500 0.151 [4 per cell]
Bi 0.000 0.000 0.445 [4 per cell]
Bi 0.000 0.500 0.309 [4 per cell]
Pd 0.000 0.000 0.260 [4 per cell]
Pd 0.000 0.500 0.405 [4 per cell]

***

Record 5
Calculated X-ray diffraction stick pattern
Compound: La8NdDy5
Radiation: Cu Kα (weighted mean of Kα1 and Kα2)
Structure: a structure optimized by DFT (PBE)

Largest 6 diffraction maxima, sorted by position, 2θ from 5° to 70°:
Position (°2θ)	I/Imax	h k l
25.45	28	2 -1 1
30.83	55	1 2 -1
31.30	60	1 1 -3
31.47	100	-3 1 1
33.26	34	0 1 2
33.51	32	2 -3 0

Structure:
Unit cell a=8.682 b=8.734 c=8.741 alpha=112.90 beta=98.47 gamma=117.05
Space group P1 (No. 1)
Unique sites:
La 0.000 0.000 0.000 [1 per cell]
La 0.017 0.408 0.812 [1 per cell]
La 0.167 0.135 0.501 [1 per cell]
La 0.215 0.512 0.294 [1 per cell]
La 0.338 0.868 0.129 [1 per cell]
La 0.486 0.654 0.757 [1 per cell]
La 0.599 0.408 0.377 [1 per cell]
La 0.631 0.134 0.961 [1 per cell]
Nd 0.534 0.130 0.592 [1 per cell]
Dy 0.117 0.779 0.646 [1 per cell]
Dy 0.399 0.370 0.966 [1 per cell]
Dy 0.744 0.875 0.528 [1 per cell]
Dy 0.829 0.175 0.345 [1 per cell]
Dy 0.887 0.651 0.176 [1 per cell]

***

Record 6
Calculated X-ray diffraction stick pattern
Compound: HoMg2Rh4
Radiation: Cu Kα (weighted mean of Kα1 and Kα2)
Structure: a structure optimized by DFT (PBE)

Largest 6 diffraction maxima, sorted by position, 2θ from 5° to 70°:
Position (°2θ)	I/Imax	h k l
20.24	41	1 0 1
27.79	16	2 0 0
34.63	21	2 1 1
39.71	55	2 2 0
41.15	100	2 0 2
57.42	19	4 0 0

Structure:
Unit cell a=6.420 b=6.420 c=6.010 alpha=90.00 beta=90.00 gamma=90.00
Space group I4/mmm (No. 139)
Unique sites:
Ho 0.000 0.000 0.000 [2 per cell]
Mg 0.000 0.500 0.000 [4 per cell]
Rh 0.250 0.250 0.250 [8 per cell]